No. 1
The following is a calculated XRD peak list of Er8Os2Rh. It was derived from a GGA-PBE-relaxed structure, using λ = 1.5418 Å (Cu Kα).
Kinematic intensities with the Lorentz-polarization factor, no thermal factor.

The 10 most intense peaks (10° ≤ 2θ ≤ 90°), in order of rising 2θ:
| two_theta | Rel. int. |
| --- | --- |
| 31.4 | 82 |
| 31.9 | 47 |
| 32.3 | 54 |
| 33.2 | 100 |
| 33.5 | 85 |
| 36.3 | 40 |
| 36.7 | 78 |
| 40.0 | 73 |
| 40.4 | 42 |
| 56.5 | 43 |

Cell and atoms:
```
Er8Os2Rh
1.0
4.183 -6.228 0.000
4.183 6.228 0.000
-1.799 0.000 5.400
Er Os Rh
8 2 1
direct
0.000 0.000 0.000 Er
0.029 0.289 0.589 Er
0.145 0.578 0.190 Er
0.289 0.029 0.589 Er
0.437 0.697 0.786 Er
0.578 0.145 0.190 Er
0.697 0.437 0.786 Er
0.726 0.726 0.384 Er
0.053 0.675 0.693 Os
0.675 0.053 0.693 Os
0.361 0.361 0.268 Rh
```

***

No. 2
The following is a calculated XRD peak list of TlGaGeAu3. It was derived from a GGA-PBE-relaxed structure, using λ = 1.5418 Å (Cu Kα).
Kinematic intensities with the Lorentz-polarization factor, no thermal factor.

The 10 most intense peaks (10° ≤ 2θ ≤ 90°), in order of rising 2θ:
| two_theta | Rel. int. |
| --- | --- |
| 22.4 | 19 |
| 24.0 | 69 |
| 29.3 | 100 |
| 31.2 | 90 |
| 39.6 | 86 |
| 44.3 | 20 |
| 45.6 | 31 |
| 46.9 | 76 |
| 64.6 | 19 |
| 67.7 | 20 |

Cell and atoms:
```
TlGaGeAu3
1.0
3.336 -7.423 0.000
3.336 7.423 0.000
0.000 0.000 6.218
Tl Ga Ge Au
2 2 2 6
direct
0.208 0.792 0.750 Tl
0.792 0.208 0.250 Tl
0.068 0.932 0.250 Ga
0.932 0.068 0.750 Ga
0.405 0.595 0.250 Ge
0.595 0.405 0.750 Ge
0.236 0.764 0.250 Au
0.273 0.273 0.000 Au
0.273 0.273 0.500 Au
0.727 0.727 0.000 Au
0.727 0.727 0.500 Au
0.764 0.236 0.750 Au
```

***

No. 3
The following is a calculated XRD peak list of La4CSCl2. It was derived from a GGA-PBE-relaxed structure, using λ = 1.5418 Å (Cu Kα).
Kinematic intensities with the Lorentz-polarization factor, no thermal factor.

The 10 most intense peaks (10° ≤ 2θ ≤ 90°), in order of rising 2θ:
| two_theta | Rel. int. |
| --- | --- |
| 25.3 | 25 |
| 26.3 | 29 |
| 27.0 | 60 |
| 30.5 | 47 |
| 30.7 | 100 |
| 39.4 | 16 |
| 43.2 | 26 |
| 44.4 | 32 |
| 45.4 | 19 |
| 55.7 | 16 |

Cell and atoms:
```
La4CSCl2
1.0
7.117 0.000 0.000
0.000 3.992 0.000
-2.268 0.000 7.031
La C S Cl
4 1 1 2
direct
0.212 0.000 0.202 La
0.234 0.500 0.788 La
0.766 0.500 0.212 La
0.788 0.000 0.798 La
0.000 0.500 0.000 C
0.500 0.000 0.000 S
0.000 0.000 0.500 Cl
0.500 0.500 0.500 Cl
```

***

No. 4
The following is a calculated XRD peak list of K2Cd5Au12. It was derived from a GGA-PBE-relaxed structure, using λ = 1.5418 Å (Cu Kα).
Kinematic intensities with the Lorentz-polarization factor, no thermal factor.

The 10 most intense peaks (10° ≤ 2θ ≤ 90°), in order of rising 2θ:
| two_theta | Rel. int. |
| --- | --- |
| 17.6 | 54 |
| 30.7 | 22 |
| 35.7 | 26 |
| 36.4 | 85 |
| 38.5 | 29 |
| 40.7 | 100 |
| 42.6 | 29 |
| 58.4 | 20 |
| 64.0 | 25 |
| 77.3 | 22 |

Cell and atoms:
```
K2Cd5Au12
1.0
5.036 2.908 4.679
-5.036 2.908 4.679
0.000 -5.815 4.679
K Cd Au
2 5 12
direct
0.142 0.142 0.142 K
0.858 0.858 0.858 K
0.000 0.500 0.500 Cd
0.398 0.398 0.398 Cd
0.500 0.000 0.500 Cd
0.500 0.500 0.000 Cd
0.602 0.602 0.602 Cd
0.163 0.163 0.653 Au
0.163 0.653 0.163 Au
0.181 0.500 0.819 Au
0.181 0.819 0.500 Au
0.347 0.837 0.837 Au
0.500 0.181 0.819 Au
0.500 0.819 0.181 Au
0.653 0.163 0.163 Au
0.819 0.181 0.500 Au
0.819 0.500 0.181 Au
0.837 0.347 0.837 Au
0.837 0.837 0.347 Au
```

***

No. 5
The following is a calculated XRD peak list of Ca2Ni. It was derived from a GGA-PBE-relaxed structure, using λ = 1.5418 Å (Cu Kα).
Kinematic intensities with the Lorentz-polarization factor, no thermal factor.

The 10 most intense peaks (10° ≤ 2θ ≤ 90°), in order of rising 2θ:
| two_theta | Rel. int. |
| --- | --- |
| 22.2 | 48 |
| 36.7 | 100 |
| 43.3 | 23 |
| 52.9 | 16 |
| 58.1 | 9 |
| 66.1 | 31 |
| 70.7 | 7 |
| 78.1 | 9 |
| 82.4 | 6 |
| 89.5 | 13 |

Cell and atoms:
```
Ca2Ni
1.0
0.000 3.461 3.461
3.461 0.000 3.461
3.461 3.461 0.000
Ca Ni
2 1
direct
0.250 0.250 0.250 Ca
0.750 0.750 0.750 Ca
0.000 0.000 0.000 Ni
```

***

No. 6
The following is a calculated XRD peak list of Rb4Pa3SiN8. It was derived from a GGA-PBE-relaxed structure, using λ = 1.5418 Å (Cu Kα).
Kinematic intensities with the Lorentz-polarization factor, no thermal factor.

The 10 most intense peaks (10° ≤ 2θ ≤ 90°), in order of rising 2θ:
| two_theta | Rel. int. |
| --- | --- |
| 13.0 | 75 |
| 26.2 | 87 |
| 30.1 | 56 |
| 31.1 | 100 |
| 31.9 | 65 |
| 35.6 | 95 |
| 46.1 | 43 |
| 51.0 | 34 |
| 55.6 | 26 |
| 56.4 | 22 |

Cell and atoms:
```
Rb4Pa3SiN8
1.0
6.387 -3.344 0.000
6.387 3.344 0.000
-3.719 0.000 6.809
Rb Pa Si N
4 3 1 8
direct
0.000 0.000 0.000 Rb
0.000 0.500 0.000 Rb
0.500 0.000 0.000 Rb
0.500 0.500 0.000 Rb
0.000 0.000 0.500 Pa
0.000 0.500 0.500 Pa
0.500 0.000 0.500 Pa
0.500 0.500 0.500 Si
0.205 0.205 0.657 N
0.230 0.230 0.306 N
0.260 0.675 0.635 N
0.325 0.740 0.365 N
0.675 0.260 0.635 N
0.740 0.325 0.365 N
0.770 0.770 0.694 N
0.795 0.795 0.343 N
```

***

No. 7
The following is a calculated XRD peak list of Tl3Sn2Pb3. It was derived from a GGA-PBE-relaxed structure, using λ = 1.5418 Å (Cu Kα).
Kinematic intensities with the Lorentz-polarization factor, no thermal factor.

The 10 most intense peaks (10° ≤ 2θ ≤ 90°), in order of rising 2θ:
| two_theta | Rel. int. |
| --- | --- |
| 31.2 | 100 |
| 31.4 | 98 |
| 35.6 | 35 |
| 36.7 | 66 |
| 52.1 | 24 |
| 52.8 | 24 |
| 61.2 | 14 |
| 62.6 | 29 |
| 62.8 | 14 |
| 63.0 | 14 |

Cell and atoms:
```
Tl3Sn2Pb3
1.0
10.343 -2.452 0.000
10.343 2.452 0.000
-1.111 0.000 4.769
Tl Sn Pb
3 2 3
direct
0.000 0.000 0.000 Tl
0.125 0.125 0.625 Tl
0.875 0.875 0.375 Tl
0.249 0.249 0.249 Sn
0.751 0.751 0.751 Sn
0.368 0.368 0.869 Pb
0.500 0.500 0.500 Pb
0.632 0.632 0.131 Pb
```

***

No. 8
The following is a calculated XRD peak list of YBeOs. It was derived from a GGA-PBE-relaxed structure, using λ = 1.5418 Å (Cu Kα).
Kinematic intensities with the Lorentz-polarization factor, no thermal factor.

The 10 most intense peaks (10° ≤ 2θ ≤ 90°), in order of rising 2θ:
| two_theta | Rel. int. |
| --- | --- |
| 20.9 | 66 |
| 24.7 | 45 |
| 34.0 | 48 |
| 40.7 | 100 |
| 41.3 | 54 |
| 42.5 | 25 |
| 42.9 | 27 |
| 55.8 | 22 |
| 65.4 | 25 |
| 73.3 | 23 |

Cell and atoms:
```
YBeOs
1.0
-2.601 2.634 3.606
2.601 -2.634 3.606
2.601 2.634 -3.606
Y Be Os
2 2 2
direct
0.371 0.121 0.250 Y
0.629 0.879 0.750 Y
0.000 0.500 0.500 Be
0.500 0.500 0.000 Be
0.000 0.000 0.500 Os
0.000 0.500 0.000 Os
```

***

No. 9
The following is a calculated XRD peak list of MgBeH4. It was derived from a GGA-PBE-relaxed structure, using λ = 1.5418 Å (Cu Kα).
Kinematic intensities with the Lorentz-polarization factor, no thermal factor.

The 10 most intense peaks (10° ≤ 2θ ≤ 90°), in order of rising 2θ:
| two_theta | Rel. int. |
| --- | --- |
| 25.7 | 44 |
| 26.0 | 17 |
| 26.9 | 100 |
| 27.5 | 15 |
| 36.4 | 18 |
| 36.8 | 14 |
| 39.9 | 14 |
| 44.9 | 24 |
| 46.6 | 18 |
| 46.8 | 16 |

Cell and atoms:
```
MgBeH4
1.0
3.445 -2.443 0.000
3.445 2.443 0.000
-0.567 0.000 6.484
Mg Be H
2 2 8
direct
0.000 0.500 0.000 Mg
0.500 0.000 0.500 Mg
0.125 0.875 0.750 Be
0.875 0.125 0.250 Be
0.144 0.207 0.755 H
0.207 0.144 0.255 H
0.284 0.701 0.572 H
0.299 0.716 0.928 H
0.701 0.284 0.072 H
0.716 0.299 0.428 H
0.793 0.856 0.745 H
0.856 0.793 0.245 H
```

***

No. 10
The following is a calculated XRD peak list of ThFe5P3. It was derived from a GGA-PBE-relaxed structure, using λ = 1.5418 Å (Cu Kα).
Kinematic intensities with the Lorentz-polarization factor, no thermal factor.

The 10 most intense peaks (10° ≤ 2θ ≤ 90°), in order of rising 2θ:
| two_theta | Rel. int. |
| --- | --- |
| 18.6 | 17 |
| 26.5 | 42 |
| 28.3 | 19 |
| 35.3 | 45 |
| 37.3 | 28 |
| 38.5 | 100 |
| 38.7 | 77 |
| 39.9 | 22 |
| 48.9 | 33 |
| 53.2 | 22 |

Cell and atoms:
```
ThFe5P3
1.0
11.905 0.000 0.000
0.000 3.728 0.000
0.000 0.000 10.417
Th Fe P
4 20 12
direct
0.203 0.250 0.079 Th
0.297 0.750 0.579 Th
0.703 0.250 0.421 Th
0.797 0.750 0.921 Th
0.009 0.750 0.705 Fe
0.012 0.750 0.097 Fe
0.067 0.750 0.466 Fe
0.172 0.250 0.777 Fe
0.201 0.250 0.379 Fe
0.299 0.750 0.879 Fe
0.328 0.750 0.277 Fe
0.433 0.250 0.966 Fe
0.488 0.250 0.597 Fe
0.491 0.250 0.205 Fe
0.509 0.750 0.795 Fe
0.512 0.750 0.403 Fe
0.567 0.750 0.034 Fe
0.672 0.250 0.723 Fe
0.701 0.250 0.121 Fe
0.799 0.750 0.621 Fe
0.828 0.750 0.223 Fe
0.933 0.250 0.534 Fe
0.988 0.250 0.903 Fe
0.991 0.250 0.295 Fe
0.102 0.750 0.891 P
0.110 0.250 0.576 P
0.134 0.750 0.275 P
0.366 0.250 0.775 P
0.390 0.750 0.076 P
0.398 0.250 0.391 P
0.602 0.750 0.609 P
0.610 0.250 0.924 P
0.634 0.750 0.225 P
0.866 0.250 0.725 P
0.890 0.750 0.424 P
0.898 0.250 0.109 P
```